(1)
The following is a simulated powder X-ray diffraction pattern of Tb6SmHo6. It was derived from a DFT-relaxed cell (GGA-PBE, Alexandria), using copper Kα.
Peak positions follow from Bragg's law for the DFT cell and can differ from measured ones.

Atomic structure:
```
data_Tb6SmHo6
_cell_length_a 6.6344
_cell_length_b 6.6344
_cell_length_c 11.3829
_cell_angle_alpha 90.00
_cell_angle_beta 90.00
_cell_angle_gamma 120.00
_space_group_name_H-M_alt 'P 6/m m m'
_space_group_IT_number 191
_space_group_name_Hall '-P 6 2'
loop_
_atom_site_label
_atom_site_type_symbol
_atom_site_fract_x
_atom_site_fract_y
_atom_site_fract_z
_atom_site_occupancy
Tb1 Tb 0.0000 0.0000 0.1523 1
Tb2 Tb 0.3333 0.6667 0.0000 1
Tb3 Tb 0.3333 0.6667 0.5000 1
Sm1 Sm 0.0000 0.0000 0.5000 1
Ho1 Ho 0.0000 0.5000 0.2553 1
```

Peak list (12 most intense, 2θ = 10–90°, sorted by position)
2theta	Rel. int.	(hkl)
26.88	27	1 1 0
28.18	19	1 0 3
31.18	100	2 0 0
31.44	23	0 0 4
34.99	70	2 0 2
35.19	24	1 0 4
50.26	16	3 0 2
53.05	15	2 1 4
55.39	26	2 2 0
55.82	22	1 1 6
65.09	17	2 2 4
69.78	11	3 0 6

---

(2)
The following is a simulated powder X-ray diffraction pattern of CeSmHo6. It was derived from a DFT-relaxed cell (GGA-PBE, Alexandria), using copper Kα.
Peak positions follow from Bragg's law for the DFT cell and can differ from measured ones.

Atomic structure:
```
data_CeSmHo6
_cell_length_a 5.001
_cell_length_b 5.001
_cell_length_c 9.991
_cell_angle_alpha 90.00
_cell_angle_beta 90.00
_cell_angle_gamma 90.00
_space_group_name_H-M_alt 'P 4/m m m'
_space_group_IT_number 123
_space_group_name_Hall '-P 4 2'
loop_
_atom_site_label
_atom_site_type_symbol
_atom_site_fract_x
_atom_site_fract_y
_atom_site_fract_z
_atom_site_occupancy
Ce1 Ce 0.000 0.000 0.000 1
Sm1 Sm 0.000 0.000 0.500 1
Ho1 Ho 0.000 0.500 0.247 1
Ho2 Ho 0.500 0.500 0.000 1
Ho3 Ho 0.500 0.500 0.500 1
```

Peak list (8 most intense, 2θ = 10–90°, sorted by position)
2theta	Rel. int.	(hkl)
30.98	100	1 1 2
35.93	51	2 0 0
51.72	36	2 2 0
61.52	43	3 1 2
64.58	12	2 2 4
76.17	6	4 0 0
84.48	18	3 3 2
87.21	17	4 2 0

---

(3)
The following is a simulated powder X-ray diffraction pattern of PPd2S4. It was derived from a DFT-relaxed cell (GGA-PBE, Alexandria), using copper Kα.
Peak positions follow from Bragg's law for the DFT cell and can differ from measured ones.

Atomic structure:
```
data_PPd2S4
_cell_length_a 6.262
_cell_length_b 6.262
_cell_length_c 7.443
_cell_angle_alpha 90.00
_cell_angle_beta 90.00
_cell_angle_gamma 90.00
_space_group_name_H-M_alt 'I -4 2 m'
_space_group_IT_number 121
_space_group_name_Hall 'I -4 2'
loop_
_atom_site_label
_atom_site_type_symbol
_atom_site_fract_x
_atom_site_fract_y
_atom_site_fract_z
_atom_site_occupancy
P1 P 0.000 0.000 0.000 1
Pd1 Pd 0.000 0.500 0.250 1
S1 S 0.201 0.201 0.143 1
```

Peak list (12 most intense, 2θ = 10–90°, sorted by position)
2theta	Rel. int.	(hkl)
18.52	18	1 0 1
20.05	61	1 1 0
23.91	32	0 0 2
28.51	16	2 0 0
31.40	100	1 1 2
37.54	22	2 0 2
40.75	36	2 2 0
45.82	22	3 1 0
47.80	18	2 2 2
52.33	43	3 1 2
57.63	29	2 0 4
87.11	12	4 2 4